Ac4GeH: calculated powder X-ray diffraction pattern (copper Kα), based on a crystal structure in Alexandria, relaxed with GGA-PBE.

Structure:
```
Ac4GeH
1.0
5.493 0.000 0.000
0.000 5.529 0.000
-2.711 0.000 6.857
Ac Ge H
4 1 1
direct
0.134 0.000 0.279 Ac
0.362 0.508 0.723 Ac
0.638 0.508 0.277 Ac
0.866 0.000 0.721 Ac
0.000 0.499 0.000 Ge
0.000 0.748 0.500 H
```

Main lines, in order of rising 2θ (2θ from 10° to 80°):
d/Å  two_theta  Rel. int.
3.749  23.74  1000
3.428  25.99  470
2.971  30.08  801
2.960  30.19  823
2.765  32.38  437
2.746  32.61  430
2.151  42.00  412
1.948  46.61  326
1.753  52.19  200
1.632  56.37  287